Diffraction record for CaSiNF2. The PXRD pattern is simulated, not measured: it uses a GGA-PBE-relaxed structure and Cu Kα (λ = 1.5418 Å).
Intensities are scaled so that the largest is 100.

Main lines, most intense first (2θ from 15° to 90°):
Position (°2θ)  d (Å)  I_rel
42.4  2.131  100.0
33.2  2.699  90.9
39.5  2.280  71.8
69.7  1.349  42.6
54.9  1.673  41.8
29.6  3.014  38.6
61.5  1.507  27.7
52.5  1.744  24.2
85.1  1.140  19.5
75.6  1.257  11.7

Structure:
```
data_CaSiNF2
_space_group_name_H-M_alt 'P 1'
_space_group_IT_number 1
_cell_length_a 4.2622
_cell_length_b 4.2622
_cell_length_c 3.4871
_cell_angle_alpha 90.00
_cell_angle_beta 90.00
_cell_angle_gamma 90.00
loop_
_space_group_symop_operation_xyz
'x,y,z'
loop_
_atom_site_label
_atom_site_type_symbol
_atom_site_fract_x
_atom_site_fract_y
_atom_site_fract_z
Ca1 Ca 0.0000 0.0000 0.0000
Si1 Si 0.5000 0.5000 0.5000
N1 N 0.5000 0.5000 0.0000
F1 F 0.0000 0.5000 0.5000
F2 F 0.5000 0.0000 0.5000
```


Diffraction record for NaCa2F. The PXRD pattern is simulated, not measured: it uses a GGA-PBE-relaxed structure and Cu Kα (λ = 1.5418 Å).
Intensities are scaled so that the largest is 100.

Main lines, most intense first (2θ from 15° to 90°):
Position (°2θ)  d (Å)  I_rel
25.4  3.512  100.0
28.7  3.108  90.6
15.2  5.821  70.9
30.7  2.912  50.5
39.4  2.284  30.9
38.7  2.325  26.6
53.4  1.715  24.7
45.4  1.999  22.8
43.3  2.090  18.9
55.2  1.664  17.1

Structure:
```
data_NaCa2F
_space_group_name_H-M_alt 'P 1'
_space_group_IT_number 1
_cell_length_a 7.0517
_cell_length_b 7.0517
_cell_length_c 7.0517
_cell_angle_alpha 117.15
_cell_angle_beta 117.15
_cell_angle_gamma 95.01
loop_
_space_group_symop_operation_xyz
'x,y,z'
loop_
_atom_site_label
_atom_site_type_symbol
_atom_site_fract_x
_atom_site_fract_y
_atom_site_fract_z
Na1 Na 0.0000 0.0000 0.0000
Na2 Na 0.7500 0.2500 0.5000
Ca1 Ca 0.2685 0.6250 0.1435
Ca2 Ca 0.3750 0.5185 0.6435
Ca3 Ca 0.4815 0.1250 0.8565
Ca4 Ca 0.8750 0.7315 0.3565
F1 F 0.2500 0.7500 0.5000
F2 F 0.5000 0.5000 0.0000
```